Diffraction record for Hf6CoSb. The X-ray powder pattern is computed, not measured: it uses a cell relaxed with PBE and Cu Ka.

Atomic structure:
abc: 5.7970 5.7970 5.7970
angles: 102.62 102.62 102.62
Element x y z (fractional)
Hf 0.2158 0.2158 0.6216
Hf 0.2158 0.6216 0.2158
Hf 0.3784 0.7842 0.7842
Hf 0.6216 0.2158 0.2158
Hf 0.7842 0.3784 0.7842
Hf 0.7842 0.7842 0.3784
Co 0.5000 0.5000 0.5000
Sb 0.0000 0.0000 0.0000

Principal peaks in the range 2θ = 10–80°, by intensity:
| Position (°2θ) | d_spacing | I (rel.) |
| --- | --- | --- |
| 32.48 | 2.757 | 100.0 |
| 38.67 | 2.328 | 89.4 |
| 39.84 | 2.262 | 49.6 |
| 35.76 | 2.511 | 38.7 |
| 60.31 | 1.535 | 28.4 |
| 64.38 | 1.447 | 27.6 |
| 54.60 | 1.681 | 25.9 |
| 25.62 | 3.476 | 25.2 |
| 32.98 | 2.716 | 25.1 |
| 58.03 | 1.589 | 23.6 |